The following is a theoretical powder XRD pattern of CaLaSn. It was derived from a cell relaxed with PBE, using Cu Kα (λ = 1.5418 Å).
Kinematic intensities with the Lorentz-polarization factor, no thermal factor.

Crystal structure
a b c (Å): 16.237 5.284 4.487
angles (deg): 90.00 90.05 90.00
Space group Cm (No. 8)
Unique sites:
Ca 0.000 0.000 0.000 x2
Ca 0.182 0.000 0.502 x2
La 0.013 0.500 0.500 x2
La 0.318 0.500 0.499 x2
Sn 0.157 0.500 0.000 x2
Sn 0.357 0.000 0.999 x2

Principal peaks in the range 10° ≤ 2θ ≤ 90°, low angle first:
17.65°, d = 5.025 Å, intensity 21, hkl 1 1 0; 29.68°, d = 3.010 Å, intensity 16, hkl 4 0 1; 30.93°, d = 2.891 Å, intensity 100, hkl 3 1 1; 33.10°, d = 2.706 Å, intensity 16, hkl 6 0 0; 33.93°, d = 2.642 Å, intensity 21, hkl 0 2 0; 58.85°, d = 1.569 Å, intensity 16, hkl 3 3 1